This entry pairs a crystal structure of RbSr3 with its theoretical X-ray diffraction stick pattern. Radiation: a wavelength of 1.5418 Å. Structure: the PBE geometry in the Materials Project.

Largest 8 diffraction maxima, by angle, 10° ≤ 2θ ≤ 90°:
2θ (°)	intensity
24.70	1000
27.99	182
28.89	336
40.66	263
47.57	166
48.73	309
50.64	138
64.80	131

Crystal structure
```
8
Lattice="6.181 0.000 0.000 0.000 6.181 0.000 0.000 0.000 12.752" Properties=species:S:1:pos:R:3 pbc="T T T"
Rb 0.000 0.000 0.000
Rb 3.091 3.091 6.376
Sr 0.000 0.000 6.376
Sr 0.000 3.091 3.188
Sr 0.000 3.091 9.564
Sr 3.091 0.000 3.188
Sr 3.091 0.000 9.564
Sr 3.091 3.091 0.000
```